No. 1
For MgAl4Cr2O10, a DFT-relaxed cell (PBE+U, the Materials Project) gives the calculated X-ray diffraction stick pattern in this record (Cu Ka).
Peak positions follow from Bragg's law for the DFT cell and can differ from measured ones.

Peak list (10 most intense, 2θ from 10° to 80°, in order of rising 2θ)
two_theta, d (Å), I (rel.)
18.57, 4.779, 46
19.50, 4.551, 32
25.95, 3.434, 100
27.77, 3.212, 40
30.27, 2.953, 63
30.72, 2.911, 37
34.17, 2.624, 74
36.31, 2.474, 26
43.48, 2.081, 44
49.54, 1.840, 75

Cell and atoms:
Unit cell a=5.1555 b=5.1555 c=10.2999 alpha=96.66 beta=96.66 gamma=41.81
Sites, in units of the cell vectors:
Mg 0.0000 0.0000 0.0000
Al 0.3205 0.3205 0.1022
Al 0.3572 0.3572 0.4516
Al 0.6428 0.6428 0.5484
Al 0.6795 0.6795 0.8978
Cr 0.3440 0.3440 0.7327
Cr 0.6560 0.6560 0.2673
O 0.1949 0.1949 0.9375
O 0.2009 0.2009 0.5672
O 0.2278 0.2278 0.2460
O 0.4729 0.4729 0.6099
O 0.4918 0.4918 0.8799
O 0.5082 0.5082 0.1201
O 0.5271 0.5271 0.3901
O 0.7722 0.7722 0.7540
O 0.7991 0.7991 0.4328
O 0.8051 0.8051 0.0625

No. 2
For MgAlCrO4, a DFT-relaxed cell (PBE+U, the Materials Project) gives the calculated X-ray diffraction stick pattern in this record (Cu Ka).
Peak positions follow from Bragg's law for the DFT cell and can differ from measured ones.

Peak list (10 most intense, 2θ from 10° to 80°, in order of rising 2θ)
two_theta, d (Å), I (rel.)
21.77, 4.082, 49
28.58, 3.123, 100
35.26, 2.545, 30
35.81, 2.508, 22
35.96, 2.497, 19
36.19, 2.482, 22
38.28, 2.351, 26
54.00, 1.698, 21
55.06, 1.668, 17
63.39, 1.467, 18

Cell and atoms:
Unit cell a=2.9358 b=5.1073 c=5.1757 alpha=74.81 beta=88.93 gamma=88.50
Sites, in units of the cell vectors:
Mg 0.0000 0.0000 0.0000
Al 0.0223 0.6814 0.6682
Cr 0.4918 0.3016 0.2804
O 0.0089 0.0199 0.3920
O 0.0152 0.4009 0.0001
O 0.5105 0.8511 0.8425
O 0.5372 0.5331 0.5205

No. 3
For MgAl4Cr2O10, a DFT-relaxed cell (PBE+U, the Materials Project) gives the calculated X-ray diffraction stick pattern in this record (Cu Ka).
Peak positions follow from Bragg's law for the DFT cell and can differ from measured ones.

Peak list (10 most intense, 2θ from 10° to 80°, in order of rising 2θ)
two_theta, d (Å), I (rel.)
19.73, 4.500, 95
26.13, 3.410, 100
34.82, 2.576, 39
36.14, 2.486, 42
36.52, 2.461, 61
36.72, 2.447, 38
41.37, 2.182, 66
41.57, 2.173, 48
54.24, 1.691, 41
54.34, 1.688, 43

Cell and atoms:
Unit cell a=4.9716 b=5.4539 c=7.3276 alpha=109.98 beta=90.76 gamma=116.45
Sites, in units of the cell vectors:
Mg 0.0000 0.0000 0.0000
Al 0.5556 0.1237 0.2424
Al 0.5647 0.1428 0.7027
Al 0.8039 0.6020 0.1428
Al 0.8156 0.6483 0.6117
Cr 0.1955 0.3975 0.4239
Cr 0.2123 0.4399 0.8961
O 0.1636 0.0168 0.7535
O 0.2095 0.7957 0.0887
O 0.3919 0.3735 0.1638
O 0.4585 0.2327 0.4859
O 0.5537 0.7867 0.5764
O 0.6447 0.5801 0.8650
O 0.7892 0.2367 0.9588
O 0.8279 0.9862 0.2457
O 0.9105 0.5353 0.3568
O 0.9905 0.4120 0.6605